Computed XRD peak list of Pm4Nd3Bi4 for CuKα, from a GGA-PBE-relaxed structure.
Lines closer than 0.1° are merged.

Cell and atoms:
```
data_Pm4Nd3Bi4
_chemical_formula_sum 'Pm8 Nd6 Bi8'
_cell_length_a 11.886
_cell_length_b 4.455
_cell_length_c 14.108
_cell_angle_alpha 90.00
_cell_angle_beta 90.00
_cell_angle_gamma 90.00
_symmetry_space_group_name_H-M 'A m m 2'
_symmetry_Int_Tables_number 38
_symmetry_space_group_name_Hall 'A 2 -2'
loop_
_atom_site_label
_atom_site_type_symbol
_atom_site_fract_x
_atom_site_fract_y
_atom_site_fract_z
Pm1 Pm 0.000 0.000 0.000
Pm2 Pm 0.242 0.000 0.465
Pm3 Pm 0.500 0.000 0.067
Nd1 Nd 0.000 0.000 0.696
Nd2 Nd 0.354 0.000 0.769
Bi1 Bi 0.000 0.000 0.351
Bi2 Bi 0.221 0.000 0.137
Bi3 Bi 0.500 0.000 0.394
```

Peak list (12 most intense, 2θ = 10–90°, in order of rising 2θ)
h k l	2theta	Rel. int.
2 0 2	19.53	21
3 0 2	25.79	16
0 1 3	27.58	65
1 1 3	28.60	18
4 0 0	30.07	29
3 1 1	30.86	27
2 1 3	31.49	100
4 1 1	36.92	29
0 2 0	40.50	31
2 0 6	41.28	37
6 1 3	54.30	16
2 2 6	59.21	19